Entry 1:
Starting from a DFT-relaxed cell (PBE, the Materials Project), the powder diffractogram of RbMgBiO3 was computed for Cu Kα X-rays.
Peak positions follow from Bragg's law for the DFT cell and can differ from measured ones.

Atomic structure:
a b c (Å): 4.493 4.493 5.470
angles (deg): 90.00 90.00 90.00
Space group P4/mmm (No. 123)
Inequivalent atoms, fractional coordinates:
Rb  0.000  0.000  0.000 (multiplicity 1)
Mg  0.000  0.000  0.500 (multiplicity 1)
Bi  0.500  0.500  0.500 (multiplicity 1)
O  0.000  0.500  0.500 (multiplicity 2)
O  0.500  0.500  0.000 (multiplicity 1)

Top 10 peaks for 2θ = 10–90°, in order of falling intensity:
(1 0 1), 25.7 deg, rel. 100
(1 1 0), 28.1 deg, rel. 59
(2 1 1), 48.3 deg, rel. 38
(1 1 2), 43.7 deg, rel. 36
(2 0 0), 40.1 deg, rel. 34
(0 0 1), 16.2 deg, rel. 31
(0 0 2), 32.7 deg, rel. 30
(2 0 2), 52.7 deg, rel. 30
(1 0 0), 19.8 deg, rel. 18
(2 2 2), 68.3 deg, rel. 16

Entry 2:
Starting from a DFT-relaxed cell (PBE, the Materials Project), the powder diffractogram of Mg3Si9B36C was computed for Cu Kα X-rays.
Peak positions follow from Bragg's law for the DFT cell and can differ from measured ones.

Atomic structure:
a b c (Å): 10.1052 10.1052 16.4304
angles (deg): 90.00 90.00 120.00
Space group R3m (No. 160, hexagonal axes)
Inequivalent atoms, fractional coordinates:
Mg  0.0005  0.5002  0.0000 (multiplicity 9)
Si  0.0000  0.0000  0.4297 (multiplicity 3)
Si  0.0000  0.0000  0.5734 (multiplicity 3)
Si  0.0000  0.0000  0.9566 (multiplicity 3)
Si  0.0697  0.5349  0.2742 (multiplicity 9)
Si  0.2021  0.4042  0.0603 (multiplicity 9)
B  0.0035  0.1769  0.2002 (multiplicity 18)
B  0.0082  0.3031  0.8845 (multiplicity 18)
B  0.0376  0.5188  0.3979 (multiplicity 9)
B  0.0438  0.3710  0.7828 (multiplicity 18)
B  0.0967  0.1934  0.8981 (multiplicity 9)
B  0.1561  0.4879  0.4692 (multiplicity 18)
B  0.1721  0.0861  0.1046 (multiplicity 9)
B  0.1897  0.3795  0.9366 (multiplicity 9)
C  0.0000  0.0000  0.0685 (multiplicity 3)

Top 10 peaks for 2θ = 10–90°, in order of falling intensity:
(1 2 2), 29.1 deg, rel. 100
(2 2 3), 39.3 deg, rel. 82
(0 3 3), 34.8 deg, rel. 61
(1 0 4), 23.9 deg, rel. 53
(0 2 4), 29.8 deg, rel. 53
(2 2 0), 35.5 deg, rel. 51
(0 2 7), 43.8 deg, rel. 51
(3 2 1), 45.5 deg, rel. 44
(1 2 8), 52.4 deg, rel. 30
(5 0 8), 70.7 deg, rel. 28

Entry 3:
Starting from a DFT-relaxed cell (PBE, the Materials Project), the powder diffractogram of Ce10Ga5Br4 was computed for Cu Kα X-rays.
Peak positions follow from Bragg's law for the DFT cell and can differ from measured ones.

Atomic structure:
a b c (Å): 7.942 7.942 31.761
angles (deg): 90.00 90.00 90.00
Space group I4/mcm (No. 140)
Inequivalent atoms, fractional coordinates:
Ce  0.000  0.000  0.155 (multiplicity 8)
Ce  0.168  0.332  0.074 (multiplicity 16)
Ce  0.171  0.329  0.205 (multiplicity 16)
Ga  0.000  0.000  0.250 (multiplicity 4)
Ga  0.124  0.376  0.363 (multiplicity 16)
Br  0.000  0.000  0.058 (multiplicity 8)
Br  0.144  0.356  0.500 (multiplicity 8)

Top 10 peaks for 2θ = 10–90°, in order of falling intensity:
(2 1 7), 32.0 deg, rel. 100
(3 1 0), 35.8 deg, rel. 50
(4 1 7), 51.5 deg, rel. 24
(2 2 0), 31.9 deg, rel. 19
(2 0 10), 36.2 deg, rel. 18
(3 1 14), 54.5 deg, rel. 15
(4 4 0), 66.7 deg, rel. 15
(1 1 10), 32.4 deg, rel. 12
(0 0 14), 39.7 deg, rel. 12
(3 3 10), 57.1 deg, rel. 9

Entry 4:
Starting from a DFT-relaxed cell (PBE, the Materials Project), the powder diffractogram of Cs3SbS4 was computed for Cu Kα X-rays.
Peak positions follow from Bragg's law for the DFT cell and can differ from measured ones.

Atomic structure:
a b c (Å): 10.150 11.948 10.241
angles (deg): 90.00 90.00 90.00
Space group Pnma (No. 62)
Inequivalent atoms, fractional coordinates:
Cs  0.046  0.042  0.205 (multiplicity 8)
Cs  0.152  0.750  0.413 (multiplicity 4)
Sb  0.225  0.750  0.981 (multiplicity 4)
S  0.011  0.750  0.076 (multiplicity 4)
S  0.163  0.085  0.545 (multiplicity 8)
S  0.204  0.750  0.750 (multiplicity 4)

Top 10 peaks for 2θ = 10–90°, in order of falling intensity:
(0 2 2), 22.9 deg, rel. 100
(2 2 0), 23.0 deg, rel. 99
(2 3 0), 28.5 deg, rel. 91
(2 0 2), 24.7 deg, rel. 68
(1 2 2), 24.5 deg, rel. 53
(2 3 1), 29.8 deg, rel. 42
(2 2 3), 35.1 deg, rel. 41
(0 4 0), 29.9 deg, rel. 40
(2 0 1), 19.5 deg, rel. 35
(1 2 3), 31.4 deg, rel. 33

Entry 5:
Starting from a DFT-relaxed cell (PBE, the Materials Project), the powder diffractogram of Zr was computed for Cu Kα X-rays.
Peak positions follow from Bragg's law for the DFT cell and can differ from measured ones.

Atomic structure:
a b c (Å): 3.583 3.583 3.583
angles (deg): 90.00 90.00 90.00
Space group Im-3m (No. 229)
Inequivalent atoms, fractional coordinates:
Zr  0.000  0.000  0.000 (multiplicity 2)

Top 5 peaks for 2θ = 10–90°, in order of falling intensity:
(1 1 0), 35.4 deg, rel. 100
(2 1 1), 63.6 deg, rel. 35
(2 0 0), 51.0 deg, rel. 17
(3 1 0), 85.7 deg, rel. 15
(2 2 0), 75.0 deg, rel. 11

Entry 6:
Starting from a DFT-relaxed cell (PBE, the Materials Project), the powder diffractogram of CeSe2 was computed for Cu Kα X-rays.
Peak positions follow from Bragg's law for the DFT cell and can differ from measured ones.

Atomic structure:
a b c (Å): 23.859 23.217 12.635
angles (deg): 90.00 102.40 90.00
Space group C2/m (No. 12)
Inequivalent atoms, fractional coordinates:
Ce  0.103  0.112  0.456 (multiplicity 8)
Ce  0.113  0.219  0.088 (multiplicity 8)
Ce  0.234  0.112  0.850 (multiplicity 8)
Se  0.000  0.141  0.500 (multiplicity 4)
Se  0.000  0.239  0.000 (multiplicity 4)
Se  0.099  0.000  0.394 (multiplicity 4)
Se  0.124  0.180  0.293 (multiplicity 8)
Se  0.155  0.140  0.967 (multiplicity 8)
Se  0.173  0.319  0.090 (multiplicity 8)
Se  0.187  0.126  0.636 (multiplicity 8)
Se  0.235  0.500  0.113 (multiplicity 4)

Top 10 peaks for 2θ = 10–90°, in order of falling intensity:
(1 3 0), 12.0 deg, rel. 100
(2 0 1), 11.5 deg, rel. 60
(1 1 2), 16.1 deg, rel. 54
(0 4 0), 15.2 deg, rel. 53
(0 2 1), 10.5 deg, rel. 49
(3 1 -1), 12.7 deg, rel. 45
(2 4 -1), 17.9 deg, rel. 27
(2 4 0), 17.0 deg, rel. 25
(1 5 -1), 20.5 deg, rel. 24
(2 2 -2), 16.6 deg, rel. 24

Entry 7:
Starting from a DFT-relaxed cell (PBE, the Materials Project), the powder diffractogram of SrZrNbInO6 was computed for Cu Kα X-rays.
Peak positions follow from Bragg's law for the DFT cell and can differ from measured ones.

Atomic structure:
a b c (Å): 8.298 8.298 8.298
angles (deg): 90.00 90.00 90.00
Space group F-43m (No. 216)
Inequivalent atoms, fractional coordinates:
Sr  0.000  0.000  0.000 (multiplicity 4)
Zr  0.250  0.250  0.250 (multiplicity 4)
Nb  0.250  0.250  0.750 (multiplicity 4)
In  0.000  0.000  0.500 (multiplicity 4)
O  0.006  0.250  0.750 (multiplicity 24)

Top 10 peaks for 2θ = 10–90°, in order of falling intensity:
(2 2 0), 30.5 deg, rel. 100
(4 2 2), 54.2 deg, rel. 39
(4 0 0), 43.6 deg, rel. 34
(6 4 2), 88.1 deg, rel. 21
(4 4 0), 63.4 deg, rel. 20
(6 2 0), 72.0 deg, rel. 17
(4 4 4), 80.1 deg, rel. 7
(2 2 2), 37.5 deg, rel. 4
(1 1 1), 18.5 deg, rel. 1
(6 2 2), 76.1 deg, rel. 1

Entry 8:
Starting from a DFT-relaxed cell (PBE, the Materials Project), the powder diffractogram of Mo3WSe6S2 was computed for Cu Kα X-rays.
Peak positions follow from Bragg's law for the DFT cell and can differ from measured ones.

Atomic structure:
a b c (Å): 3.2915 3.2915 37.6374
angles (deg): 90.00 90.00 120.00
Space group P3m1 (No. 156)
Inequivalent atoms, fractional coordinates:
Mo  0.0000  0.0000  0.0000 (multiplicity 1)
Mo  0.0000  0.0000  0.3755 (multiplicity 1)
Mo  0.3333  0.6667  0.1885 (multiplicity 1)
W  0.3333  0.6667  0.5656 (multiplicity 1)
Se  0.0000  0.0000  0.5206 (multiplicity 1)
Se  0.0000  0.0000  0.6106 (multiplicity 1)
Se  0.3333  0.6667  0.0448 (multiplicity 1)
Se  0.3333  0.6667  0.3307 (multiplicity 1)
Se  0.3333  0.6667  0.4202 (multiplicity 1)
Se  0.3333  0.6667  0.9552 (multiplicity 1)
S  0.0000  0.0000  0.1478 (multiplicity 1)
S  0.0000  0.0000  0.2292 (multiplicity 1)

Top 10 peaks for 2θ = 10–90°, in order of falling intensity:
(0 0 5), 11.8 deg, rel. 100
(1 0 8), 36.9 deg, rel. 68
(1 0 13), 44.6 deg, rel. 47
(1 0 0), 31.4 deg, rel. 34
(1 1 0), 55.9 deg, rel. 23
(0 0 6), 14.1 deg, rel. 16
(1 0 5), 33.6 deg, rel. 14
(1 1 21), 79.0 deg, rel. 12
(1 0 14), 46.4 deg, rel. 12
(0 2 8), 68.8 deg, rel. 11

Entry 9:
Starting from a DFT-relaxed cell (PBE, the Materials Project), the powder diffractogram of Na5Br4Cl was computed for Cu Kα X-rays.
Peak positions follow from Bragg's law for the DFT cell and can differ from measured ones.

Atomic structure:
a b c (Å): 4.222 4.222 29.841
angles (deg): 90.00 90.00 90.00
Space group I4/mmm (No. 139)
Inequivalent atoms, fractional coordinates:
Na  0.000  0.000  0.000 (multiplicity 2)
Na  0.000  0.000  0.200 (multiplicity 4)
Na  0.000  0.000  0.401 (multiplicity 4)
Br  0.000  0.000  0.100 (multiplicity 4)
Br  0.000  0.000  0.300 (multiplicity 4)
Cl  0.000  0.000  0.500 (multiplicity 2)

Top 10 peaks for 2θ = 10–90°, in order of falling intensity:
(1 1 0), 29.9 deg, rel. 100
(2 0 0), 42.8 deg, rel. 72
(1 0 5), 25.8 deg, rel. 48
(2 0 10), 53.1 deg, rel. 25
(3 1 10), 78.5 deg, rel. 22
(2 1 5), 50.7 deg, rel. 22
(3 1 0), 70.5 deg, rel. 20
(2 2 0), 62.2 deg, rel. 11
(1 1 20), 70.6 deg, rel. 10
(3 0 5), 68.5 deg, rel. 9

Entry 10:
Starting from a DFT-relaxed cell (PBE, the Materials Project), the powder diffractogram of LiBeP was computed for Cu Kα X-rays.
Peak positions follow from Bragg's law for the DFT cell and can differ from measured ones.

Atomic structure:
a b c (Å): 3.606 3.606 6.008
angles (deg): 90.00 90.00 90.00
Space group P4/nmm (No. 129, origin choice 2)
Inequivalent atoms, fractional coordinates:
Li  0.250  0.250  0.148 (multiplicity 2)
Be  0.250  0.750  0.500 (multiplicity 2)
P  0.250  0.250  0.718 (multiplicity 2)

Top 10 peaks for 2θ = 10–90°, in order of falling intensity:
(1 0 1), 28.9 deg, rel. 100
(1 1 2), 46.7 deg, rel. 43
(1 1 0), 35.2 deg, rel. 36
(2 0 0), 50.6 deg, rel. 23
(0 0 1), 14.7 deg, rel. 23
(2 1 1), 59.3 deg, rel. 21
(0 0 2), 29.7 deg, rel. 18
(1 0 3), 52.2 deg, rel. 18
(1 0 2), 39.0 deg, rel. 17
(2 1 3), 75.7 deg, rel. 12

> What is the formula in the seventh record?

SrZrNbInO6